Entry 1:
The following is a simulated PXRD pattern of HfNb2VC4. It was derived from the GGA-PBE geometry in the Materials Project, using Cu Kα (λ = 1.5418 Å).

```
data_HfNb2VC4
_chemical_formula_sum 'Hf3 Nb6 V3 C12'
_space_group_name_H-M_alt 'R 3 m'
_space_group_IT_number 160
_space_group_name_Hall 'R 3 -2"'
_cell_length_a 3.1585
_cell_length_b 3.1585
_cell_length_c 30.8155
_cell_angle_alpha 90.00
_cell_angle_beta 90.00
_cell_angle_gamma 120.00
loop_
_atom_site_label
_atom_site_type_symbol
_atom_site_fract_x
_atom_site_fract_y
_atom_site_fract_z
Hf1 Hf 0.0000 0.0000 0.0000
Nb1 Nb 0.0000 0.0000 0.2457
Nb2 Nb 0.0000 0.0000 0.4940
V1 V 0.0000 0.0000 0.7487
C1 C 0.0000 0.0000 0.1184
C2 C 0.0000 0.0000 0.3773
C3 C 0.0000 0.0000 0.6217
C4 C 0.0000 0.0000 0.8702
```

The 6 most intense peaks (2θ from 5° to 70°), in order of falling intensity:
h k l	Position (°2θ)	I/Imax
1 0 4	34.80	100
0 1 8	40.44	96
0 2 4	69.90	39
0 0 3	8.61	34
0 0 12	34.94	32
1 1 0	58.44	32

***

Entry 2:
The following is a simulated PXRD pattern of Sc2AlC. It was derived from the GGA-PBE geometry in the Materials Project, using Cu Kα (λ = 1.5418 Å).

```
data_Sc2AlC
_chemical_formula_sum 'Sc4 Al2 C2'
_space_group_name_H-M_alt 'P 63/m m c'
_space_group_IT_number 194
_space_group_name_Hall '-P 6c 2c'
_cell_length_a 3.2951
_cell_length_b 3.2951
_cell_length_c 15.0540
_cell_angle_alpha 90.00
_cell_angle_beta 90.00
_cell_angle_gamma 120.00
loop_
_atom_site_label
_atom_site_type_symbol
_atom_site_fract_x
_atom_site_fract_y
_atom_site_fract_z
Sc1 Sc 0.3333 0.6667 0.0828
Al1 Al 0.3333 0.6667 0.7500
C1 C 0.0000 0.0000 0.0000
```

The 6 most intense peaks (2θ from 5° to 70°), in order of falling intensity:
h k l	Position (°2θ)	I/Imax
1 0 3	36.21	100
0 0 2	11.76	27
1 1 0	55.80	20
0 0 6	35.79	19
1 0 6	48.30	19
1 0 0	31.35	17

***

Entry 3:
The following is a simulated PXRD pattern of YTa3O9. It was derived from the GGA-PBE geometry in the Materials Project, using Cu Kα (λ = 1.5418 Å).

```
data_YTa3O9
_chemical_formula_sum 'Y2 Ta6 O18'
_space_group_name_H-M_alt 'P 1 21/m 1'
_space_group_IT_number 11
_cell_length_a 5.318
_cell_length_b 7.544
_cell_length_c 8.318
_cell_angle_alpha 90.00
_cell_angle_beta 92.62
_cell_angle_gamma 90.00
loop_
_space_group_symop_operation_xyz
'x,y,z'
'-x,-y,-z'
'-x,y+1/2,-z'
'x,-y+1/2,z'
loop_
_atom_site_label
_atom_site_type_symbol
_atom_site_fract_x
_atom_site_fract_y
_atom_site_fract_z
Y1 Y 0.037 0.250 0.435
Ta1 Ta 0.000 0.000 0.000
Ta2 Ta 0.470 0.006 0.695
O1 O 0.091 0.250 0.979
O2 O 0.149 0.564 0.785
O3 O 0.258 0.541 0.468
O4 O 0.325 0.550 0.121
O5 O 0.341 0.250 0.656
O6 O 0.423 0.250 0.316
```

The 6 most intense peaks (2θ from 5° to 70°), in order of falling intensity:
h k l	Position (°2θ)	I/Imax
1 0 -2	26.63	100
0 2 0	23.59	97
1 2 1	31.28	71
1 0 2	27.86	66
1 0 1	20.25	54
2 0 0	33.75	51

***

Entry 4:
The following is a simulated PXRD pattern of Cs2LiAl3F12. It was derived from the GGA-PBE geometry in the Materials Project, using Cu Kα (λ = 1.5418 Å).

```
data_Cs2LiAl3F12
_chemical_formula_sum 'Cs6 Li3 Al9 F36'
_space_group_name_H-M_alt 'R -3 m'
_space_group_IT_number 166
_space_group_name_Hall '-R 3 2"'
_cell_length_a 7.0914
_cell_length_b 7.0914
_cell_length_c 17.8218
_cell_angle_alpha 90.00
_cell_angle_beta 90.00
_cell_angle_gamma 120.00
loop_
_atom_site_label
_atom_site_type_symbol
_atom_site_fract_x
_atom_site_fract_y
_atom_site_fract_z
Cs1 Cs 0.0000 0.0000 0.1273
Li1 Li 0.0000 0.0000 0.5000
Al1 Al 0.0000 0.5000 0.0000
F1 F 0.0526 0.5263 0.0980
F2 F 0.0824 0.5412 0.3477
```

The 6 most intense peaks (2θ from 5° to 70°), in order of falling intensity:
h k l	Position (°2θ)	I/Imax
1 1 3	29.33	100
1 0 4	24.69	96
0 2 1	29.52	76
0 2 4	35.51	60
1 1 0	25.12	49
2 2 0	51.55	39

***

Entry 5:
The following is a simulated PXRD pattern of SrAlGa. It was derived from the GGA-PBE geometry in the Materials Project, using Cu Kα (λ = 1.5418 Å).

```
data_SrAlGa
_chemical_formula_sum 'Sr1 Al1 Ga1'
_space_group_name_H-M_alt 'P -6 m 2'
_space_group_IT_number 187
_space_group_name_Hall 'P -6 2'
_cell_length_a 4.4042
_cell_length_b 4.4042
_cell_length_c 4.8325
_cell_angle_alpha 90.00
_cell_angle_beta 90.00
_cell_angle_gamma 120.00
loop_
_atom_site_label
_atom_site_type_symbol
_atom_site_fract_x
_atom_site_fract_y
_atom_site_fract_z
Sr1 Sr 0.0000 0.0000 0.0000
Al1 Al 0.3333 0.6667 0.5000
Ga1 Ga 0.6667 0.3333 0.5000
```

The 6 most intense peaks (2θ from 5° to 70°), in order of falling intensity:
h k l	Position (°2θ)	I/Imax
1 0 1	29.84	100
1 1 0	40.99	36
1 1 2	56.54	27
2 0 1	51.52	21
2 1 1	67.84	18
0 0 2	37.21	16

***

Entry 6:
The following is a simulated PXRD pattern of Cu4SO10. It was derived from the GGA-PBE geometry in the Materials Project, using Cu Kα (λ = 1.5418 Å).

```
data_Cu4SO10
_chemical_formula_sum 'Cu16 S4 O40'
_space_group_name_H-M_alt 'P 1 21/c 1'
_space_group_IT_number 14
_cell_length_a 5.855
_cell_length_b 9.676
_cell_length_c 13.478
_cell_angle_alpha 90.00
_cell_angle_beta 103.36
_cell_angle_gamma 90.00
loop_
_space_group_symop_operation_xyz
'x,y,z'
'-x,-y,-z'
'-x,y+1/2,-z+1/2'
'x,-y+1/2,z+1/2'
loop_
_atom_site_label
_atom_site_type_symbol
_atom_site_fract_x
_atom_site_fract_y
_atom_site_fract_z
Cu1 Cu 0.018 0.009 0.284
Cu2 Cu 0.195 0.245 0.146
Cu3 Cu 0.303 0.749 0.350
Cu4 Cu 0.481 0.510 0.216
S1 S 0.334 0.213 0.917
O1 O 0.042 0.628 0.330
O2 O 0.064 0.634 0.882
O3 O 0.152 0.172 0.972
O4 O 0.203 0.591 0.164
O5 O 0.243 0.581 0.736
O6 O 0.282 0.142 0.815
O7 O 0.322 0.134 0.396
O8 O 0.423 0.133 0.619
O9 O 0.428 0.676 0.525
O10 O 0.459 0.129 0.173
```

The 6 most intense peaks (2θ from 5° to 70°), in order of falling intensity:
h k l	Position (°2θ)	I/Imax
0 0 2	13.51	100
0 1 2	16.33	51
2 2 0	36.63	44
2 2 -2	36.44	40
0 2 4	33.01	40
0 2 2	22.84	39

***

Entry 7:
The following is a simulated PXRD pattern of Lu2TeO6. It was derived from the GGA-PBE geometry in the Materials Project, using Cu Kα (λ = 1.5418 Å).

```
data_Lu2TeO6
_chemical_formula_sum 'Lu4 Te2 O12'
_space_group_name_H-M_alt 'P 42/m n m'
_space_group_IT_number 136
_space_group_name_Hall '-P 4n 2n'
_cell_length_a 4.916
_cell_length_b 4.916
_cell_length_c 9.887
_cell_angle_alpha 90.00
_cell_angle_beta 90.00
_cell_angle_gamma 90.00
loop_
_atom_site_label
_atom_site_type_symbol
_atom_site_fract_x
_atom_site_fract_y
_atom_site_fract_z
Lu1 Lu 0.000 0.000 0.165
Te1 Te 0.000 0.000 0.500
O1 O 0.185 0.185 0.351
O2 O 0.217 0.217 0.000
```

The 6 most intense peaks (2θ from 5° to 70°), in order of falling intensity:
h k l	Position (°2θ)	I/Imax
1 1 0	25.63	100
1 0 3	32.71	88
2 1 3	49.86	68
2 0 0	36.56	26
3 0 3	63.39	19
3 1 0	59.46	17

***

Entry 8:
The following is a simulated PXRD pattern of I. It was derived from the GGA-PBE geometry in the Materials Project, using Cu Kα (λ = 1.5418 Å).

```
data_I
_chemical_formula_sum 'I4'
_space_group_name_H-M_alt 'F m m m'
_space_group_IT_number 69
_space_group_name_Hall '-F 2 2'
_cell_length_a 4.365
_cell_length_b 4.781
_cell_length_c 8.831
_cell_angle_alpha 90.00
_cell_angle_beta 90.00
_cell_angle_gamma 90.00
loop_
_atom_site_label
_atom_site_type_symbol
_atom_site_fract_x
_atom_site_fract_y
_atom_site_fract_z
I1 I 0.000 0.000 0.000
```

The 6 most intense peaks (2θ from 5° to 70°), in order of falling intensity:
h k l	Position (°2θ)	I/Imax
1 1 1	29.50	100
0 0 2	20.11	65
1 1 3	41.54	39
0 2 2	43.03	18
2 0 2	46.41	14
1 1 5	59.70	13